Structure and simulated powder diffraction line list of ErTm6 (a GGA-PBE-relaxed structure; a wavelength of 1.5418 Å).
No peak broadening, texture or thermal motion is included.

Most intense lines, 10° ≤ 2θ ≤ 90°, most intense first:
| 2θ (°) | d_spacing | intensity |
| --- | --- | --- |
| 29.1 | 3.065 | 100 |
| 35.5 | 2.527 | 79 |
| 31.8 | 2.816 | 78 |
| 32.4 | 2.764 | 60 |
| 56.9 | 1.618 | 52 |
| 67.4 | 1.390 | 45 |
| 33.2 | 2.699 | 30 |
| 39.9 | 2.260 | 28 |

Structural model:
abc: 6.393 6.393 10.797
angles: 90.00 90.00 90.00
Fractional positions:
Er (0.250, 0.750, 0.000)
Er (0.750, 0.250, 0.000)
Tm (0.081, 0.581, 0.363)
Tm (0.081, 0.919, 0.637)
Tm (0.250, 0.250, 0.141)
Tm (0.250, 0.250, 0.859)
Tm (0.419, 0.581, 0.637)
Tm (0.419, 0.919, 0.363)
Tm (0.581, 0.081, 0.637)
Tm (0.581, 0.419, 0.363)
Tm (0.750, 0.750, 0.141)
Tm (0.750, 0.750, 0.859)
Tm (0.919, 0.081, 0.363)
Tm (0.919, 0.419, 0.637)

---

Structure and simulated powder diffraction line list of CaHfN (a GGA-PBE-relaxed structure; a wavelength of 1.5418 Å).
No peak broadening, texture or thermal motion is included.

Most intense lines, 10° ≤ 2θ ≤ 90°, most intense first:
| 2θ (°) | d_spacing | intensity |
| --- | --- | --- |
| 32.4 | 2.759 | 100 |
| 31.6 | 2.835 | 76 |
| 44.0 | 2.059 | 53 |
| 49.8 | 1.830 | 53 |
| 39.0 | 2.312 | 53 |
| 29.8 | 2.994 | 43 |
| 64.9 | 1.436 | 29 |
| 56.2 | 1.637 | 29 |

Structural model:
abc: 11.976 3.274 3.274
angles: 59.99 90.00 90.00
Fractional positions:
Ca (0.114, 0.000, 0.000)
Ca (0.886, 0.000, 0.000)
Hf (0.383, 0.668, 0.668)
Hf (0.617, 0.668, 0.668)
N (0.000, 0.667, 0.667)
N (0.500, 0.002, 0.002)

---

Structure and simulated powder diffraction line list of DyMgCdPb (a GGA-PBE-relaxed structure; a wavelength of 1.5418 Å).
No peak broadening, texture or thermal motion is included.

Most intense lines, 10° ≤ 2θ ≤ 90°, most intense first:
| 2θ (°) | d_spacing | intensity |
| --- | --- | --- |
| 33.5 | 2.675 | 100 |
| 18.2 | 4.886 | 21 |
| 36.8 | 2.443 | 19 |
| 38.7 | 2.324 | 17 |
| 27.9 | 3.196 | 15 |
| 64.2 | 1.451 | 15 |
| 66.8 | 1.400 | 15 |
| 41.0 | 2.201 | 14 |

Structural model:
abc: 4.402 4.648 4.886
angles: 90.00 90.00 90.00
Fractional positions:
Dy (0.000, 0.000, 0.000)
Mg (0.000, 0.500, 0.500)
Cd (0.500, 0.000, 0.500)
Pb (0.500, 0.500, 0.000)

---

Structure and simulated powder diffraction line list of Mn2Ni21B6 (a GGA-PBE-relaxed structure; a wavelength of 1.5418 Å).
No peak broadening, texture or thermal motion is included.

Most intense lines, 10° ≤ 2θ ≤ 90°, most intense first:
| 2θ (°) | d_spacing | intensity |
| --- | --- | --- |
| 44.9 | 2.017 | 100 |
| 51.6 | 1.772 | 26 |
| 42.2 | 2.140 | 26 |
| 38.4 | 2.344 | 22 |
| 77.2 | 1.235 | 20 |
| 49.2 | 1.853 | 19 |
| 52.4 | 1.747 | 14 |
| 79.1 | 1.210 | 12 |

Structural model:
abc: 7.413 7.413 7.413
angles: 60.00 60.00 60.00
Fractional positions:
Mn (0.250, 0.250, 0.250)
Mn (0.750, 0.750, 0.750)
Ni (0.000, 0.000, 0.000)
Ni (0.000, 0.000, 0.338)
Ni (0.000, 0.000, 0.662)
Ni (0.000, 0.338, 0.000)
Ni (0.000, 0.338, 0.662)
Ni (0.000, 0.662, 0.000)
Ni (0.000, 0.662, 0.338)
Ni (0.149, 0.617, 0.617)
Ni (0.338, 0.000, 0.000)
Ni (0.338, 0.000, 0.662)
Ni (0.338, 0.662, 0.000)
Ni (0.383, 0.383, 0.383)
Ni (0.383, 0.383, 0.851)
Ni (0.383, 0.851, 0.383)
Ni (0.617, 0.149, 0.617)
Ni (0.617, 0.617, 0.149)
Ni (0.617, 0.617, 0.617)
Ni (0.662, 0.000, 0.000)
Ni (0.662, 0.000, 0.338)
Ni (0.662, 0.338, 0.000)
Ni (0.851, 0.383, 0.383)
B (0.273, 0.273, 0.727)
B (0.273, 0.727, 0.273)
B (0.273, 0.727, 0.727)
B (0.727, 0.273, 0.273)
B (0.727, 0.273, 0.727)
B (0.727, 0.727, 0.273)

---

> Number 3 is which compound?

DyMgCdPb